The following is a simulated powder diffraction line list of RbAlH4. It was derived from a structure optimized by DFT (PBE), using Cu Kα (λ = 1.5418 Å).

Peak list (6 most intense, 2θ from 10° to 80°, by angle)
- 18.90°, d = 4.697 Å, I = 48
- 21.11°, d = 4.209 Å, I = 53
- 24.03°, d = 3.703 Å, I = 100
- 24.96°, d = 3.567 Å, I = 75
- 26.71°, d = 3.337 Å, I = 93
- 30.15°, d = 2.964 Å, I = 50

Lattice parameters (Å, degrees): 9.4864 5.9274 7.6985 90.00 90.00 90.00
Element x y z (fractional)
Rb  0.1817  0.2500  0.1597
Rb  0.3183  0.7500  0.6597
Rb  0.6817  0.2500  0.3403
Rb  0.8183  0.7500  0.8403
Al  0.0616  0.2500  0.6864
Al  0.4384  0.7500  0.1864
Al  0.5616  0.2500  0.8136
Al  0.9384  0.7500  0.3136
H  0.0799  0.0268  0.8104
H  0.0799  0.4732  0.8104
H  0.0960  0.7500  0.3978
H  0.1864  0.2500  0.5410
H  0.3136  0.7500  0.0410
H  0.4040  0.2500  0.8978
H  0.4200  0.5268  0.3104
H  0.4200  0.9732  0.3104
H  0.5800  0.0268  0.6896
H  0.5800  0.4732  0.6896
H  0.5960  0.7500  0.1022
H  0.6864  0.2500  0.9590
H  0.8136  0.7500  0.4590
H  0.9040  0.2500  0.6022
H  0.9200  0.5268  0.1896
H  0.9200  0.9732  0.1896


The following is a simulated powder diffraction line list of MnIn2Te4. It was derived from a structure optimized by DFT (PBE), using Cu Kα (λ = 1.5418 Å).

Peak list (6 most intense, 2θ from 10° to 80°, by angle)
- 24.48°, d = 3.637 Å, I = 100
- 32.52°, d = 2.754 Å, I = 14
- 40.42°, d = 2.231 Å, I = 23
- 40.55°, d = 2.225 Å, I = 46
- 47.83°, d = 1.902 Å, I = 27
- 48.04°, d = 1.894 Å, I = 15

Lattice parameters (Å, degrees): 6.3112 6.3112 12.5484 90.00 90.00 90.00
Element x y z (fractional)
Mn  0.0000  0.0000  0.0000
Mn  0.5000  0.5000  0.5000
In  0.0000  0.0000  0.5000
In  0.0000  0.5000  0.7500
In  0.5000  0.0000  0.2500
In  0.5000  0.5000  0.0000
Te  0.2185  0.7334  0.1330
Te  0.2334  0.2815  0.3670
Te  0.2666  0.2185  0.8670
Te  0.2815  0.7666  0.6330
Te  0.7185  0.2334  0.6330
Te  0.7334  0.7815  0.8670
Te  0.7666  0.7185  0.3670
Te  0.7815  0.2666  0.1330


The following is a simulated powder diffraction line list of TaAs. It was derived from a structure optimized by DFT (PBE), using Cu Kα (λ = 1.5418 Å).

Peak list (6 most intense, 2θ from 10° to 80°, by angle)
- 26.79°, d = 3.327 Å, I = 37
- 30.47°, d = 2.934 Å, I = 24
- 34.56°, d = 2.596 Å, I = 53
- 39.83°, d = 2.263 Å, I = 100
- 46.73°, d = 1.944 Å, I = 37
- 52.77°, d = 1.735 Å, I = 28

Lattice parameters (Å, degrees): 3.4696 3.4696 11.7349 90.00 90.00 90.00
Element x y z (fractional)
Ta  0.0000  0.0000  0.0000
Ta  0.0000  0.5000  0.2500
Ta  0.5000  0.0000  0.7500
Ta  0.5000  0.5000  0.5000
As  0.0000  0.0000  0.4178
As  0.0000  0.5000  0.6678
As  0.5000  0.0000  0.1678
As  0.5000  0.5000  0.9178